# 1
Computed PXRD pattern
Compound: K4Nb3BiO12
Radiation: λ = 1.5418 Å (Cu Kα)
Structure: DFT lattice parameters and positions (PBE)
Kinematic intensities with the Lorentz-polarization factor, no thermal factor.

Main lines, by angle (5 to 70 degrees two-theta):
2θ/deg, I_rel
15.28, 16
21.68, 55
26.63, 9
30.85, 100
41.20, 7
44.19, 37
49.73, 24
54.86, 39
64.27, 22
68.69, 11

Cell and atoms:
Lattice parameters (Å, degrees): 8.1988 8.1988 8.1988 90.00 90.00 90.00
Space group Im-3m (No. 229)
One atom of each set of equivalent atoms:
K (0.2500, 0.2500, 0.2500)
Nb (0.0000, 0.0000, 0.5000)
Bi (0.0000, 0.0000, 0.0000)
O (0.0000, 0.0000, 0.2575)
O (0.0000, 0.2500, 0.5000)

***

# 2
Computed PXRD pattern
Compound: PrNd14Tm
Radiation: λ = 1.5418 Å (Cu Kα)
Structure: DFT lattice parameters and positions (PBE)
Kinematic intensities with the Lorentz-polarization factor, no thermal factor.

Main lines, by angle (5 to 70 degrees two-theta):
2θ/deg, I_rel
29.82, 100
34.56, 51
49.68, 36
59.03, 43
61.93, 12

Cell and atoms:
Lattice parameters (Å, degrees): 7.3396 7.3396 10.3813 90.00 90.00 90.00
Space group P4/mmm (No. 123)
One atom of each set of equivalent atoms:
Pr (0.0000, 0.0000, 0.0000)
Nd (0.0000, 0.0000, 0.5000)
Nd (0.0000, 0.5000, 0.0000)
Nd (0.0000, 0.5000, 0.5000)
Nd (0.2517, 0.2517, 0.2485)
Nd (0.5000, 0.5000, 0.5000)
Tm (0.5000, 0.5000, 0.0000)

***

# 3
Computed PXRD pattern
Compound: Li3Sn11Pd4
Radiation: λ = 1.5418 Å (Cu Kα)
Structure: DFT lattice parameters and positions (PBE)
Kinematic intensities with the Lorentz-polarization factor, no thermal factor.

Main lines, by angle (5 to 70 degrees two-theta):
2θ/deg, I_rel
20.79, 35
31.37, 100
31.78, 52
36.37, 76
36.73, 91
36.89, 45
41.57, 75
42.30, 54
42.80, 48
64.39, 37

Cell and atoms:
Lattice parameters (Å, degrees): 8.5440 9.5923 9.4149 90.00 90.00 90.00
Space group Amm2 (No. 38)
One atom of each set of equivalent atoms:
Li (0.0000, 0.0000, 0.0000)
Li (0.5000, 0.2470, 0.5748)
Sn (0.0000, 0.0000, 0.6647)
Sn (0.0000, 0.1648, 0.3176)
Sn (0.3165, 0.0000, 0.1532)
Sn (0.3179, 0.1558, 0.8243)
Sn (0.3207, 0.0000, 0.4726)
Pd (0.1818, 0.2459, 0.5706)

***

# 4
Computed PXRD pattern
Compound: PuFeIr
Radiation: λ = 1.5418 Å (Cu Kα)
Structure: DFT lattice parameters and positions (PBE)
Kinematic intensities with the Lorentz-polarization factor, no thermal factor.

Main lines, by angle (5 to 70 degrees two-theta):
2θ/deg, I_rel
19.90, 25
34.22, 64
36.86, 32
39.24, 100
39.53, 18
40.44, 25
40.55, 49
42.24, 34
59.50, 17
68.00, 20

Cell and atoms:
Lattice parameters (Å, degrees): 4.8764 5.5490 7.5012 90.00 90.00 90.00
Space group Imma (No. 74)
One atom of each set of equivalent atoms:
Pu (0.0000, 0.2500, 0.1281)
Fe (0.2500, 0.2500, 0.7500)
Ir (0.0000, 0.0000, 0.5000)

***

# 5
Computed PXRD pattern
Compound: Pr3GePbCl
Radiation: λ = 1.5418 Å (Cu Kα)
Structure: DFT lattice parameters and positions (PBE)
Kinematic intensities with the Lorentz-polarization factor, no thermal factor.

Main lines, by angle (5 to 70 degrees two-theta):
2θ/deg, I_rel
12.77, 36
26.04, 65
27.28, 100
31.20, 52
31.67, 31
33.20, 61
33.86, 46
35.66, 54
38.09, 43
42.03, 77

Cell and atoms:
Lattice parameters (Å, degrees): 7.6584 4.2992 11.5529 90.00 101.76 90.00
Space group P2_1/m (No. 11)
One atom of each set of equivalent atoms:
Pr (0.0434, 0.2500, 0.1548)
Pr (0.2302, 0.7500, 0.4959)
Pr (0.4544, 0.7500, 0.8524)
Ge (0.2671, 0.7500, 0.0668)
Pb (0.1524, 0.2500, 0.6881)
Cl (0.3815, 0.2500, 0.3703)

***

# 6
Computed PXRD pattern
Compound: YOsW4
Radiation: λ = 1.5418 Å (Cu Kα)
Structure: DFT lattice parameters and positions (PBE)
Kinematic intensities with the Lorentz-polarization factor, no thermal factor.

Main lines, by angle (5 to 70 degrees two-theta):
2θ/deg, I_rel
20.33, 18
23.51, 3
33.50, 19
39.50, 100
41.33, 50
48.10, 9
52.73, 5
54.21, 1
59.88, 7
63.93, 33

Cell and atoms:
Lattice parameters (Å, degrees): 7.5668 7.5668 7.5668 90.00 90.00 90.00
Space group F-43m (No. 216)
One atom of each set of equivalent atoms:
Y (0.0000, 0.0000, 0.0000)
Os (0.2500, 0.2500, 0.7500)
W (0.1257, 0.1257, 0.3743)

***

# 7
Computed PXRD pattern
Compound: Ca6PbO8
Radiation: λ = 1.5418 Å (Cu Kα)
Structure: DFT lattice parameters and positions (PBE)
Kinematic intensities with the Lorentz-polarization factor, no thermal factor.

Main lines, by angle (5 to 70 degrees two-theta):
2θ/deg, I_rel
15.85, 100
18.32, 15
30.62, 54
32.02, 42
37.14, 68
40.61, 22
48.87, 23
53.53, 43
56.19, 23
63.75, 20

Cell and atoms:
Lattice parameters (Å, degrees): 9.6842 9.6842 9.6842 90.00 90.00 90.00
Space group Fm-3m (No. 225)
One atom of each set of equivalent atoms:
Ca (0.0000, 0.2500, 0.2500)
Pb (0.0000, 0.0000, 0.0000)
O (0.0000, 0.0000, 0.2302)
O (0.2500, 0.2500, 0.2500)

***

# 8
Computed PXRD pattern
Compound: CuPd3Au2
Radiation: λ = 1.5418 Å (Cu Kα)
Structure: DFT lattice parameters and positions (PBE)
Kinematic intensities with the Lorentz-polarization factor, no thermal factor.

Main lines, by angle (5 to 70 degrees two-theta):
2θ/deg, I_rel
11.46, 7
23.04, 3
33.38, 6
39.18, 100
44.58, 17
44.95, 18
47.09, 14
65.17, 11
66.85, 10
67.13, 10

Cell and atoms:
Lattice parameters (Å, degrees): 4.0330 12.1941 7.7201 90.00 90.00 90.00
Space group Cmmm (No. 65)
One atom of each set of equivalent atoms:
Cu (0.0000, 0.1663, 0.0000)
Pd (0.0000, 0.0000, 0.2417)
Pd (0.0000, 0.3297, 0.2327)
Au (0.0000, 0.1673, 0.5000)
Au (0.0000, 0.5000, 0.0000)
Au (0.0000, 0.5000, 0.5000)

***

# 9
Computed PXRD pattern
Compound: Al4V5Fe2
Radiation: λ = 1.5418 Å (Cu Kα)
Structure: DFT lattice parameters and positions (PBE)
Kinematic intensities with the Lorentz-polarization factor, no thermal factor.

Main lines, by angle (5 to 70 degrees two-theta):
2θ/deg, I_rel
34.55, 31
40.42, 17
41.79, 50
42.33, 22
42.77, 100
43.24, 22
44.46, 14
46.15, 14
55.31, 13
56.10, 25

Cell and atoms:
Lattice parameters (Å, degrees): 6.5954 2.5956 8.7573 90.00 93.75 90.00
Space group P2/m (No. 10)
One atom of each set of equivalent atoms:
Al (0.1570, 0.0000, 0.3951)
Al (0.2857, 0.0000, 0.9486)
V (0.2059, 0.5000, 0.6754)
V (0.4269, 0.5000, 0.2129)
V (0.5000, 0.5000, 0.5000)
Fe (0.0583, 0.5000, 0.1372)

***

# 10
Computed PXRD pattern
Compound: AcThTcN4
Radiation: λ = 1.5418 Å (Cu Kα)
Structure: DFT lattice parameters and positions (PBE)
Kinematic intensities with the Lorentz-polarization factor, no thermal factor.

Main lines, by angle (5 to 70 degrees two-theta):
2θ/deg, I_rel
23.69, 19
30.53, 100
32.31, 55
40.95, 10
42.58, 18
46.35, 24
53.10, 16
53.88, 11
56.52, 37
63.54, 11

Cell and atoms:
Lattice parameters (Å, degrees): 3.9179 3.9179 13.2225 90.00 90.00 90.00
Space group I4mm (No. 107)
One atom of each set of equivalent atoms:
Ac (0.0000, 0.0000, 0.0000)
Th (0.0000, 0.0000, 0.7080)
Tc (0.0000, 0.0000, 0.3471)
N (0.0000, 0.0000, 0.1872)
N (0.0000, 0.0000, 0.5342)
N (0.0000, 0.5000, 0.3459)

***

# 11
Computed PXRD pattern
Compound: TbPm4PrSm2
Radiation: λ = 1.5418 Å (Cu Kα)
Structure: DFT lattice parameters and positions (PBE)
Kinematic intensities with the Lorentz-polarization factor, no thermal factor.

Main lines, by angle (5 to 70 degrees two-theta):
2θ/deg, I_rel
30.05, 100
34.84, 51
50.10, 36
59.52, 32
59.58, 11
62.36, 3
62.51, 9

Cell and atoms:
Lattice parameters (Å, degrees): 7.2898 7.2787 10.2963 90.00 90.13 90.00
Space group P2/m (No. 10)
One atom of each set of equivalent atoms:
Tb (0.0000, 0.0000, 0.0000)
Tb (0.5000, 0.0000, 0.0000)
Pm (0.2490, 0.2491, 0.2488)
Pm (0.2485, 0.2490, 0.7514)
Pr (0.5000, 0.0000, 0.5000)
Pr (0.5000, 0.5000, 0.0000)
Sm (0.0000, 0.0000, 0.5000)
Sm (0.0000, 0.5000, 0.0000)
Sm (0.0000, 0.5000, 0.5000)
Sm (0.5000, 0.5000, 0.5000)

***

# 12
Computed PXRD pattern
Compound: Rb3Pd2I9
Radiation: λ = 1.5418 Å (Cu Kα)
Structure: DFT lattice parameters and positions (PBE)
Kinematic intensities with the Lorentz-polarization factor, no thermal factor.

Main lines, by angle (5 to 70 degrees two-theta):
2θ/deg, I_rel
10.51, 54
13.49, 15
16.17, 13
21.31, 14
27.36, 22
29.24, 100
34.79, 21
35.50, 18
48.02, 27
57.22, 14

Cell and atoms:
Lattice parameters (Å, degrees): 13.1270 13.1270 25.0195 90.00 90.00 120.00
Space group R-3c (No. 167, hexagonal axes)
One atom of each set of equivalent atoms:
Rb (0.0000, 0.3361, 0.2500)
Pd (0.0000, 0.0000, 0.1789)
I (0.0000, 0.1655, 0.7500)
I (0.0067, 0.1789, 0.1175)